# Er2Pd7Au3
Calculated powder XRD pattern, Cu Ka. Input: a DFT-relaxed cell (PBE, Alexandria).
Lines closer than 0.1° are merged.

Atomic structure:
a b c (Å): 9.7102 9.3600 4.9464
angles (deg): 78.92 71.08 29.99
Positions (direct):
Er1 0.1632 0.1632 0.8368
Er2 0.8368 0.8368 0.1632
Pd1 0.0000 0.0000 0.0000
Pd2 0.0811 0.0811 0.4189
Pd3 0.2500 0.2500 0.2500
Pd4 0.4189 0.4189 0.0811
Pd5 0.5811 0.5811 0.9189
Pd6 0.7500 0.7500 0.7500
Pd7 0.9189 0.9189 0.5811
Au1 0.3359 0.3359 0.6641
Au2 0.5000 0.5000 0.5000
Au3 0.6641 0.6641 0.3359

Main lines, low angle first (10° ≤ 2θ ≤ 90°):
d/Å  I (rel.)
2.379  100
2.367  97
2.100  68
1.973  28
1.491  11
1.438  40
1.262  26
1.256  25
1.204  11
1.202  11

# ErPd4Au7
Calculated powder XRD pattern, Cu Ka. Input: a DFT-relaxed cell (PBE, Alexandria).
Lines closer than 0.1° are merged.

Atomic structure:
a b c (Å): 5.1276 5.8088 7.6589
angles (deg): 79.15 70.89 89.76
Positions (direct):
Er1 0.0000 0.0000 0.0000
Pd1 0.1647 0.4150 0.3313
Pd2 0.3320 0.8361 0.6722
Pd3 0.6680 0.1639 0.3278
Pd4 0.8353 0.5850 0.6687
Au1 0.0000 0.5000 0.0000
Au2 0.1728 0.9126 0.3408
Au3 0.3268 0.3389 0.6612
Au4 0.4987 0.2539 0.0003
Au5 0.5013 0.7461 0.9997
Au6 0.6732 0.6611 0.3388
Au7 0.8272 0.0874 0.6592

Main lines, low angle first (10° ≤ 2θ ≤ 90°):
d/Å  I (rel.)
2.404  79
2.390  78
2.378  79
2.365  75
2.086  53
2.054  100
1.452  49
1.246  20
1.245  20
1.236  19

What is the formula in the first record? Er2Pd7Au3